(1)
This entry pairs a crystal structure of Re2BiTe6 with its theoretical powder X-ray diffraction pattern. Radiation: CuKα. Structure: a structure optimized by DFT (PBE).
No peak broadening, texture or thermal motion is included.

Unit cell a=11.367 b=11.367 c=6.862 alpha=96.27 beta=96.27 gamma=34.36
Positions (direct):
Re  0.057  0.570  0.912
Re  0.430  0.943  0.588
Re  0.570  0.057  0.412
Re  0.943  0.430  0.088
Bi  0.040  0.960  0.750
Bi  0.960  0.040  0.250
Te  0.038  0.260  0.437
Te  0.188  0.400  0.254
Te  0.260  0.038  0.937
Te  0.277  0.591  0.998
Te  0.400  0.188  0.754
Te  0.409  0.723  0.502
Te  0.591  0.277  0.498
Te  0.600  0.812  0.246
Te  0.723  0.409  0.002
Te  0.740  0.962  0.063
Te  0.812  0.600  0.746
Te  0.962  0.740  0.563

Main lines, sorted by position (2θ = 15–90°):
- 19.32°, I 84
- 29.33°, I 78
- 30.75°, I 63
- 31.95°, I 86
- 33.17°, I 54
- 42.54°, I 100


(2)
This entry pairs a crystal structure of Zr2Sc2BiSb with its theoretical powder X-ray diffraction pattern. Radiation: CuKα. Structure: a structure optimized by DFT (PBE).
No peak broadening, texture or thermal motion is included.

Unit cell a=8.572 b=8.572 c=8.572 alpha=151.58 beta=151.58 gamma=40.63
Positions (direct):
Zr  0.000  0.500  0.500
Zr  0.500  0.000  0.500
Sc  0.177  0.177  0.000
Sc  0.833  0.833  0.000
Bi  0.646  0.646  0.000
Sb  0.361  0.361  0.000

Main lines, sorted by position (2θ = 15–90°):
- 21.83°, I 45
- 26.94°, I 38
- 32.07°, I 59
- 33.44°, I 30
- 37.61°, I 100
- 42.98°, I 47


(3)
This entry pairs a crystal structure of Sm2BiSbTe2 with its theoretical powder X-ray diffraction pattern. Radiation: CuKα. Structure: a structure optimized by DFT (PBE).
No peak broadening, texture or thermal motion is included.

Unit cell a=4.377 b=4.377 c=9.451 alpha=90.00 beta=90.00 gamma=90.00
Positions (direct):
Sm  0.000  0.500  0.220
Sm  0.500  0.000  0.780
Bi  0.000  0.000  0.500
Sb  0.500  0.500  0.500
Te  0.000  0.500  0.875
Te  0.500  0.000  0.125

Main lines, sorted by position (2θ = 15–90°):
- 28.33°, I 42
- 30.39°, I 100
- 34.65°, I 83
- 35.10°, I 42
- 41.25°, I 54
- 50.80°, I 34